No. 1
Diffraction record for MgTiZn2WO6. The PXRD pattern is computed, not measured: it uses a crystal structure in the Materials Project, relaxed with PBE+U and Cu Kα.
Neutral-atom scattering factors, no anomalous dispersion.

The 10 most intense peaks (2θ from 10° to 80°), by angle:
2θ (°)  I/Imax  h k l
20.1  100.0  0 1 0
20.3  48.9  1 0 -1
30.0  52.0  1 -1 1
30.7  47.8  1 0 -2
33.6  79.2  1 1 -1
33.8  76.5  1 -2 0
34.0  72.5  -2 1 1
34.7  48.5  1 0 1
35.0  57.0  0 1 -2
35.5  48.4  -1 1 2

Crystal structure
```
data_MgTiZn2WO6
_chemical_formula_sum 'Mg1 Ti1 Zn2 W1 O6'
_symmetry_space_group_name_H-M 'P 1'
_symmetry_Int_Tables_number 1
_cell_length_a 5.2766
_cell_length_b 5.3092
_cell_length_c 5.9156
_cell_angle_alpha 91.10
_cell_angle_beta 115.02
_cell_angle_gamma 119.42
loop_
_symmetry_equiv_pos_as_xyz
'x,y,z'
loop_
_atom_site_label
_atom_site_fract_x
_atom_site_fract_y
_atom_site_fract_z
Mg1 0.0000 0.0000 0.0000
Ti1 0.3777 0.1922 0.5595
Zn1 0.6628 0.8256 0.4961
Zn2 0.8261 0.4101 0.2412
W1 0.3094 0.6538 0.9579
O1 0.1665 0.2279 0.7402
O2 0.1956 0.4089 0.2431
O3 0.4543 0.0502 0.2436
O4 0.5331 0.9388 0.7511
O5 0.8202 0.5829 0.7366
O6 0.8312 0.7787 0.2383
```

No. 2
Diffraction record for VCdO3. The PXRD pattern is computed, not measured: it uses a crystal structure in the Materials Project, relaxed with PBE+U and Cu Kα.
Neutral-atom scattering factors, no anomalous dispersion.

The 10 most intense peaks (2θ from 10° to 80°), by angle:
2θ (°)  I/Imax  h k l
23.4  20.5  0 2 0
33.2  23.6  2 0 0
33.4  100.0  1 2 1
33.7  23.5  0 0 2
41.0  11.5  2 2 0
47.9  15.2  0 4 0
48.0  27.0  2 0 2
59.4  24.6  2 4 0
60.0  21.7  1 2 3
70.1  13.6  2 4 2

Crystal structure
```
data_VCdO3
_chemical_formula_sum 'V4 Cd4 O12'
_symmetry_space_group_name_H-M 'P n m a'
_symmetry_Int_Tables_number 62
_cell_length_a 5.4032
_cell_length_b 7.6031
_cell_length_c 5.3222
_cell_angle_alpha 90.00
_cell_angle_beta 90.00
_cell_angle_gamma 90.00
loop_
_symmetry_equiv_pos_as_xyz
'x,y,z'
'-x,-y,-z'
'-x+1/2,-y,z+1/2'
'x+1/2,y,-z+1/2'
'x+1/2,-y+1/2,-z+1/2'
'-x+1/2,y+1/2,z+1/2'
'-x,y+1/2,-z'
'x,-y+1/2,z'
loop_
_atom_site_label
_atom_site_fract_x
_atom_site_fract_y
_atom_site_fract_z
V1 0.0000 0.0000 0.0000
Cd1 0.0349 0.2500 0.4911
O1 0.0210 0.7500 0.0870
O2 0.2111 0.5443 0.7067
```